[1]
Diffraction record for PaPdPb2O6. The powder diffractogram is calculated, not measured: it uses a PBE-relaxed structure and a wavelength of 1.5418 Å.

abc: 5.758 5.922 6.010
angles: 61.10 61.47 88.72
Fractional positions:
Pa1 0.000 0.000 0.000
Pd1 0.500 0.500 0.000
Pb1 0.220 0.710 0.539
Pb2 0.780 0.290 0.461
O1 0.186 0.297 0.520
O2 0.196 0.308 0.012
O3 0.332 0.820 0.929
O4 0.668 0.180 0.071
O5 0.804 0.692 0.988
O6 0.814 0.703 0.480

Most intense lines, 2θ = 10–90°, low angle first:
2theta	Rel. int.
18.22	17
28.88	46
29.59	48
29.80	100
30.20	47
31.08	45
40.54	27
43.38	23
44.38	21
53.52	19
54.50	20
61.89	19

[2]
Diffraction record for RbPa2Pb2O7. The powder diffractogram is calculated, not measured: it uses a PBE-relaxed structure and a wavelength of 1.5418 Å.

abc: 12.709 12.709 12.709
angles: 160.51 159.35 28.55
Fractional positions:
Rb1 0.000 0.000 0.000
Pa1 0.410 0.410 0.000
Pa2 0.590 0.590 0.000
Pb1 0.202 0.702 0.500
Pb2 0.798 0.298 0.500
O1 0.101 0.601 0.500
O2 0.325 0.325 0.000
O3 0.417 0.917 0.500
O4 0.500 0.500 0.000
O5 0.583 0.083 0.500
O6 0.675 0.675 0.000
O7 0.899 0.399 0.500

Most intense lines, 2θ = 10–90°, low angle first:
2theta	Rel. int.
20.96	46
23.34	44
26.65	100
29.46	70
32.88	39
36.48	25
39.56	26
42.00	22
45.17	17
50.44	37
52.34	27
53.38	29

[3]
Diffraction record for RbPaPbO5. The powder diffractogram is calculated, not measured: it uses a PBE-relaxed structure and a wavelength of 1.5418 Å.

abc: 6.598 6.598 8.335
angles: 104.48 104.48 106.37
Fractional positions:
Rb1 0.174 0.826 0.750
Rb2 0.826 0.174 0.250
Pa1 0.500 0.500 0.000
Pa2 0.500 0.500 0.500
Pb1 0.186 0.814 0.250
Pb2 0.814 0.186 0.750
O1 0.148 0.274 0.907
O2 0.218 0.610 0.404
O3 0.274 0.148 0.407
O4 0.390 0.782 0.096
O5 0.450 0.550 0.750
O6 0.550 0.450 0.250
O7 0.610 0.218 0.904
O8 0.726 0.852 0.593
O9 0.782 0.390 0.596
O10 0.852 0.726 0.093

Most intense lines, 2θ = 10–90°, low angle first:
2theta	Rel. int.
14.91	29
15.46	23
23.09	89
24.78	77
28.22	100
29.01	63
31.20	41
32.11	26
36.04	25
45.81	30
51.50	23
53.73	27

[4]
Diffraction record for Rb3PaPb2O6. The powder diffractogram is calculated, not measured: it uses a PBE-relaxed structure and a wavelength of 1.5418 Å.

abc: 6.348 6.348 7.563
angles: 90.00 90.00 120.00
Fractional positions:
Rb1 0.000 0.000 0.000
Rb2 0.333 0.667 0.645
Rb3 0.667 0.333 0.355
Pa1 0.000 0.000 0.500
Pb1 0.333 0.667 0.179
Pb2 0.667 0.333 0.821
O1 0.162 0.324 0.330
O2 0.162 0.838 0.330
O3 0.324 0.162 0.670
O4 0.676 0.838 0.330
O5 0.838 0.162 0.670
O6 0.838 0.676 0.670

Most intense lines, 2θ = 10–90°, low angle first:
2theta	Rel. int.
19.97	51
28.11	100
28.65	93
40.58	49
45.26	13
49.76	21
50.09	41
51.09	18
58.13	17
59.33	15
66.07	18
66.91	16

[5]
Diffraction record for Rb3PaPb2O9. The powder diffractogram is calculated, not measured: it uses a PBE-relaxed structure and a wavelength of 1.5418 Å.

abc: 6.195 6.195 7.619
angles: 90.00 90.00 120.00
Fractional positions:
Rb1 0.000 0.000 0.000
Rb2 0.333 0.667 0.674
Rb3 0.667 0.333 0.326
Pa1 0.000 0.000 0.500
Pb1 0.333 0.667 0.173
Pb2 0.667 0.333 0.827
O1 0.000 0.500 0.000
O2 0.164 0.327 0.336
O3 0.164 0.836 0.336
O4 0.327 0.164 0.664
O5 0.500 0.000 0.000
O6 0.500 0.500 0.000
O7 0.673 0.836 0.336
O8 0.836 0.164 0.664
O9 0.836 0.673 0.664

Most intense lines, 2θ = 10–90°, low angle first:
2theta	Rel. int.
20.24	29
28.78	100
41.16	29
46.23	7
46.33	7
50.87	11
51.04	32
59.53	9
59.70	9
67.46	9
67.59	9
82.35	11

[6]
Diffraction record for Rb2PaPbO6. The powder diffractogram is calculated, not measured: it uses a PBE-relaxed structure and a wavelength of 1.5418 Å.

abc: 4.407 4.407 8.736
angles: 90.00 90.00 90.00
Fractional positions:
Rb1 0.000 0.000 0.239
Rb2 0.000 0.000 0.761
Pa1 0.500 0.500 0.500
Pb1 0.500 0.500 0.000
O1 0.000 0.500 0.000
O2 0.000 0.500 0.500
O3 0.500 0.000 0.000
O4 0.500 0.000 0.500
O5 0.500 0.500 0.257
O6 0.500 0.500 0.743

Most intense lines, 2θ = 10–90°, low angle first:
2theta	Rel. int.
20.15	31
20.33	15
28.64	51
28.78	100
40.95	30
41.34	14
46.09	15
50.82	43
51.07	21
59.60	19
67.20	19
81.82	11

[7]
Diffraction record for PaRuPb2O6. The powder diffractogram is calculated, not measured: it uses a PBE-relaxed structure and a wavelength of 1.5418 Å.

abc: 6.518 6.518 5.209
angles: 107.39 107.39 51.64
Fractional positions:
Pa1 0.000 0.000 0.000
Ru1 0.500 0.500 0.500
Pb1 0.253 0.253 0.760
Pb2 0.747 0.747 0.240
O1 0.172 0.172 0.288
O2 0.183 0.663 0.226
O3 0.337 0.817 0.774
O4 0.663 0.183 0.226
O5 0.817 0.337 0.774
O6 0.828 0.828 0.712

Most intense lines, 2θ = 10–90°, low angle first:
2theta	Rel. int.
27.16	100
29.53	93
31.51	35
32.35	32
34.68	26
45.79	28
47.56	28
53.21	18
53.50	17
54.88	16
56.03	17
57.30	16

[8]
Diffraction record for PaPbSe2O8. The powder diffractogram is calculated, not measured: it uses a PBE-relaxed structure and a wavelength of 1.5418 Å.

abc: 6.214 6.214 6.970
angles: 90.00 90.00 120.00
Fractional positions:
Pa1 0.000 0.000 0.000
Pb1 0.000 0.000 0.500
Se1 0.333 0.667 0.752
Se2 0.667 0.333 0.248
O1 0.154 0.309 0.799
O2 0.154 0.846 0.799
O3 0.309 0.154 0.201
O4 0.333 0.667 0.517
O5 0.667 0.333 0.483
O6 0.691 0.846 0.799
O7 0.846 0.154 0.201
O8 0.846 0.691 0.201

Most intense lines, 2θ = 10–90°, low angle first:
2theta	Rel. int.
16.47	100
20.85	29
28.73	75
30.56	81
38.83	21
42.44	46
44.55	15
50.91	15
52.06	43
59.50	13
60.96	19
68.37	18

[9]
Diffraction record for PaSi2PbO8. The powder diffractogram is calculated, not measured: it uses a PBE-relaxed structure and a wavelength of 1.5418 Å.

abc: 5.529 5.529 7.316
angles: 90.00 90.00 120.00
Fractional positions:
Pa1 0.000 0.000 0.000
Si1 0.333 0.667 0.730
Si2 0.667 0.333 0.270
Pb1 0.000 0.000 0.500
O1 0.172 0.344 0.808
O2 0.172 0.828 0.808
O3 0.333 0.667 0.506
O4 0.344 0.172 0.192
O5 0.656 0.828 0.808
O6 0.667 0.333 0.494
O7 0.828 0.172 0.192
O8 0.828 0.656 0.192

Most intense lines, 2θ = 10–90°, low angle first:
2theta	Rel. int.
18.53	100
24.33	12
30.76	71
32.38	40
37.57	13
40.92	33
45.27	31
50.42	17
53.64	13
56.75	26
60.72	14
76.27	12

[10]
Diffraction record for PaSiPb2O6. The powder diffractogram is calculated, not measured: it uses a PBE-relaxed structure and a wavelength of 1.5418 Å.

abc: 5.560 5.560 4.650
angles: 90.00 90.00 90.00
Fractional positions:
Pa1 0.000 0.000 0.000
Si1 0.500 0.500 0.974
Pb1 0.000 0.500 0.458
Pb2 0.500 0.000 0.458
O1 0.000 0.000 0.518
O2 0.279 0.279 0.069
O3 0.279 0.721 0.069
O4 0.500 0.500 0.619
O5 0.721 0.279 0.069
O6 0.721 0.721 0.069

Most intense lines, 2θ = 10–90°, low angle first:
2theta	Rel. int.
15.94	17
24.96	12
29.76	100
32.20	41
38.73	15
46.18	21
51.22	23
55.91	35
61.80	15
64.64	11
83.06	13
89.36	11

[11]
Diffraction record for PaTcPbO6. The powder diffractogram is calculated, not measured: it uses a PBE-relaxed structure and a wavelength of 1.5418 Å.

abc: 7.178 7.178 7.178
angles: 120.25 118.62 90.99
Fractional positions:
Pa1 0.000 0.000 0.000
Pa2 0.500 0.000 0.500
Tc1 0.500 0.000 0.000
Tc2 0.500 0.500 0.500
Pb1 0.202 0.452 0.750
Pb2 0.798 0.548 0.250
O1 0.143 0.893 0.250
O2 0.178 0.401 0.349
O3 0.178 0.829 0.777
O4 0.411 0.161 0.250
O5 0.448 0.171 0.849
O6 0.448 0.599 0.277
O7 0.552 0.401 0.723
O8 0.552 0.829 0.151
O9 0.589 0.839 0.750
O10 0.822 0.171 0.223
O11 0.822 0.599 0.651
O12 0.857 0.107 0.750

Most intense lines, 2θ = 10–90°, low angle first:
2theta	Rel. int.
17.63	46
24.87	32
28.78	100
29.17	20
29.28	21
30.68	66
38.51	45
45.95	13
46.33	33
50.90	13
53.37	16
59.61	22

[12]
Diffraction record for PaTlPbO5. The powder diffractogram is calculated, not measured: it uses a PBE-relaxed structure and a wavelength of 1.5418 Å.

abc: 6.475 6.475 8.334
angles: 105.32 105.32 107.42
Fractional positions:
Pa1 0.000 0.000 0.000
Pa2 0.000 0.000 0.500
Tl1 0.308 0.692 0.750
Tl2 0.692 0.308 0.250
Pb1 0.299 0.701 0.250
Pb2 0.701 0.299 0.750
O1 0.076 0.924 0.250
O2 0.082 0.681 0.902
O3 0.219 0.344 0.572
O4 0.319 0.918 0.598
O5 0.344 0.219 0.072
O6 0.656 0.781 0.928
O7 0.681 0.082 0.402
O8 0.781 0.656 0.428
O9 0.918 0.319 0.098
O10 0.924 0.076 0.750

Most intense lines, 2θ = 10–90°, low angle first:
2theta	Rel. int.
23.10	80
25.98	82
28.77	100
29.44	92
31.48	63
43.71	26
46.62	28
47.59	30
48.85	50
50.76	23
51.86	23
54.90	23

> Which formula does entry 3 have?

RbPaPbO5